Entry 1:
Ac2In12Ag: theoretical powder X-ray diffraction pattern (Cu Kα X-rays), based on DFT lattice parameters and positions (PBE).

Structural model:
Unit cell a=6.9772 b=6.9772 c=17.3829 alpha=90.00 beta=90.00 gamma=90.00
Fractional coordinates of all 30 atoms:
Ac 0.2500 0.7500 0.2448
Ac 0.2500 0.7500 0.7552
Ac 0.7500 0.2500 0.2448
Ac 0.7500 0.2500 0.7552
In 0.0006 0.5006 0.0873
In 0.0006 0.9994 0.9127
In 0.0847 0.5847 0.5700
In 0.0847 0.9153 0.4300
In 0.2500 0.2500 0.1837
In 0.2500 0.2500 0.3444
In 0.2500 0.2500 0.6556
In 0.2500 0.2500 0.8163
In 0.4153 0.5847 0.4300
In 0.4153 0.9153 0.5700
In 0.4994 0.5006 0.9127
In 0.4994 0.9994 0.0873
In 0.5006 0.0006 0.9127
In 0.5006 0.4994 0.0873
In 0.5847 0.0847 0.4300
In 0.5847 0.4153 0.5700
In 0.7500 0.7500 0.1837
In 0.7500 0.7500 0.3444
In 0.7500 0.7500 0.6556
In 0.7500 0.7500 0.8163
In 0.9153 0.0847 0.5700
In 0.9153 0.4153 0.4300
In 0.9994 0.0006 0.0873
In 0.9994 0.4994 0.9127
Ag 0.2500 0.7500 0.0000
Ag 0.7500 0.2500 0.0000

Largest 10 diffraction maxima, by angle, 15° ≤ 2θ ≤ 90°:
| 2θ/deg | d_spacing | intensity |
| --- | --- | --- |
| 27.35 | 3.261 | 605 |
| 27.55 | 3.238 | 1000 |
| 32.59 | 2.747 | 172 |
| 32.92 | 2.720 | 331 |
| 35.95 | 2.498 | 393 |
| 36.44 | 2.466 | 942 |
| 40.47 | 2.229 | 225 |
| 46.14 | 1.967 | 351 |
| 52.46 | 1.744 | 149 |
| 59.73 | 1.548 | 251 |

Entry 2:
PmU2Ru2: theoretical powder X-ray diffraction pattern (Cu Kα X-rays), based on DFT lattice parameters and positions (PBE).

Structural model:
Unit cell a=8.6887 b=7.2845 c=6.4114 alpha=78.47 beta=55.23 gamma=46.30
Fractional coordinates of all 10 atoms:
Pm 0.1250 0.1250 0.1250
Pm 0.8750 0.8750 0.8750
U 0.2792 0.2792 0.4708
U 0.4708 0.4708 0.2792
U 0.5292 0.5292 0.7208
U 0.7208 0.7208 0.5292
Ru 0.1519 0.5981 0.1519
Ru 0.4019 0.8481 0.4019
Ru 0.5981 0.1519 0.5981
Ru 0.8481 0.4019 0.8481

Largest 10 diffraction maxima, by angle, 15° ≤ 2θ ≤ 90°:
| 2θ/deg | d_spacing | intensity |
| --- | --- | --- |
| 17.82 | 4.978 | 922 |
| 31.75 | 2.818 | 1000 |
| 32.27 | 2.774 | 882 |
| 33.35 | 2.686 | 497 |
| 34.63 | 2.590 | 340 |
| 37.91 | 2.373 | 680 |
| 43.37 | 2.086 | 653 |
| 44.43 | 2.039 | 670 |
| 45.90 | 1.977 | 553 |
| 70.09 | 1.343 | 438 |

Entry 3:
SbO2F4: theoretical powder X-ray diffraction pattern (Cu Kα X-rays), based on DFT lattice parameters and positions (PBE).

Structural model:
Unit cell a=3.5957 b=4.1262 c=8.0950 alpha=94.49 beta=101.52 gamma=90.07
Fractional coordinates of all 7 atoms:
Sb 0.0000 0.0000 0.0000
O 0.5260 0.3752 0.5093
O 0.7423 0.6061 0.5130
F 0.0939 0.7964 0.2119
F 0.4289 0.9213 0.8420
F 0.5538 0.2074 0.1197
F 0.9619 0.4797 0.9142

Largest 10 diffraction maxima, by angle, 15° ≤ 2θ ≤ 90°:
| 2θ/deg | d_spacing | intensity |
| --- | --- | --- |
| 21.61 | 4.113 | 497 |
| 22.49 | 3.953 | 845 |
| 23.57 | 3.775 | 818 |
| 25.23 | 3.531 | 1000 |
| 25.54 | 3.488 | 605 |
| 29.76 | 3.002 | 385 |
| 37.90 | 2.374 | 230 |
| 38.33 | 2.348 | 258 |
| 38.44 | 2.342 | 307 |
| 50.80 | 1.797 | 265 |